Starting from a structure optimized by DFT (GGA+U), the powder X-ray diffraction pattern of ScNiBO4 was computed for a wavelength of 1.5418 Å.
Peak positions follow from Bragg's law for the DFT cell and can differ from measured ones.

Peak list (6 most intense, 2θ = 5–70°, by angle)
d_spacing	Position (°2θ)	I/Imax	(hkl)
4.262	20.8	33	0 2 1
3.018	29.6	27	0 3 1
2.668	33.6	100	1 0 2
2.639	34.0	44	0 3 2
1.635	56.3	26	1 3 4
1.620	56.8	35	2 0 0

abc: 3.239 9.560 9.417
angles: 90.00 90.00 90.00
Space group Pmc2_1 (No. 26)
Asymmetric unit:
Sc 0.000 0.055 0.000 [2 per cell]
Sc 0.000 0.330 0.493 [2 per cell]
Ni 0.500 0.186 0.724 [2 per cell]
Ni 0.500 0.443 0.204 [2 per cell]
B 0.000 0.375 0.930 [2 per cell]
B 0.500 0.129 0.271 [2 per cell]
O 0.000 0.132 0.590 [2 per cell]
O 0.000 0.243 0.866 [2 per cell]
O 0.000 0.389 0.075 [2 per cell]
O 0.000 0.497 0.847 [2 per cell]
O 0.500 0.004 0.349 [2 per cell]
O 0.500 0.119 0.124 [2 per cell]
O 0.500 0.257 0.336 [2 per cell]
O 0.500 0.368 0.613 [2 per cell]